[1]
Theoretical PXRD pattern of Ti2Se3 for Cu Kα, 1.54184 Å, from a structure optimized by DFT (GGA-PBE).
Lines closer than 0.1° are merged.

The 12 most intense peaks (2θ = 5–70°), sorted by position:
6.051 Å, I 4; 4.943 Å, I 4; 3.025 Å, I 9; 2.778 Å, I 100; 2.642 Å, I 2; 2.174 Å, I 49; 2.018 Å, I 2; 1.805 Å, I 33; 1.695 Å, I 21; 1.550 Å, I 8; 1.513 Å, I 21; 1.389 Å, I 11

Structural model:
```
data_Ti2Se3
_chemical_formula_sum 'Ti8 Se12'
_symmetry_space_group_name_H-M 'P -3 1 c'
_symmetry_Int_Tables_number 163
_symmetry_space_group_name_Hall '-P 3 2c'
_cell_length_a 6.2536
_cell_length_b 6.2536
_cell_length_c 12.1019
_cell_angle_alpha 90.00
_cell_angle_beta 90.00
_cell_angle_gamma 120.00
loop_
_atom_site_label
_atom_site_fract_x
_atom_site_fract_y
_atom_site_fract_z
Ti1 0.0000 0.0000 0.0000
Ti2 0.3333 0.6667 0.0049
Ti3 0.3333 0.6667 0.2500
Se1 0.0054 0.3328 0.8718
```

***

[2]
Theoretical PXRD pattern of Ti3Se for Cu Kα, 1.54184 Å, from a structure optimized by DFT (GGA-PBE).
Lines closer than 0.1° are merged.

The 12 most intense peaks (2θ = 5–70°), sorted by position:
7.943 Å, I 30; 3.971 Å, I 4; 2.769 Å, I 6; 2.615 Å, I 75; 2.271 Å, I 100; 1.986 Å, I 19; 1.914 Å, I 36; 1.599 Å, I 31; 1.589 Å, I 2; 1.567 Å, I 3; 1.378 Å, I 11; 1.364 Å, I 9

Structural model:
```
data_Ti3Se
_chemical_formula_sum 'Ti3 Se1'
_symmetry_space_group_name_H-M 'P -6 m 2'
_symmetry_Int_Tables_number 187
_symmetry_space_group_name_Hall 'P -6 2'
_cell_length_a 3.1974
_cell_length_b 3.1974
_cell_length_c 7.9427
_cell_angle_alpha 90.00
_cell_angle_beta 90.00
_cell_angle_gamma 120.00
loop_
_atom_site_label
_atom_site_fract_x
_atom_site_fract_y
_atom_site_fract_z
Ti1 0.0000 0.0000 0.0000
Ti2 0.6667 0.3333 0.2729
Se1 0.3333 0.6667 0.5000
```